# Pr3AgIr
Computed powder X-ray diffraction pattern, Cu Kα X-rays. Input: a cell relaxed with GGA-PBE.
Peak positions follow from Bragg's law for the DFT cell and can differ from measured ones.

Largest 12 diffraction maxima, by angle, 10 to 90 degrees two-theta:
hkl 0 0 2, 2θ = 11.23°, d 7.879, intensity 31
hkl 0 0 4, 2θ = 22.60°, d 3.935, intensity 42
hkl 1 1 2, 2θ = 24.66°, d 3.611, intensity 36
hkl 2 1 1, 2θ = 30.51°, d 2.930, intensity 72
hkl 1 0 5, 2θ = 30.71°, d 2.912, intensity 40
hkl 1 1 4, 2θ = 31.64°, d 2.828, intensity 42
hkl 2 1 2, 2θ = 32.09°, d 2.789, intensity 100
hkl 2 0 4, 2θ = 32.73°, d 2.736, intensity 32
hkl 0 1 5, 2θ = 34.02°, d 2.635, intensity 81
hkl 1 1 5, 2θ = 36.07°, d 2.490, intensity 33
hkl 0 2 0, 2θ = 37.44°, d 2.402, intensity 84
hkl 3 1 1, 2θ = 40.63°, d 2.220, intensity 31

Cell and atoms:
```
data_Pr3AgIr
_chemical_formula_sum 'Pr12 Ag4 Ir4'
_space_group_name_H-M_alt 'P n m a'
_space_group_IT_number 62
_space_group_name_Hall '-P 2ac 2n'
_cell_length_a 7.608
_cell_length_b 4.805
_cell_length_c 15.759
_cell_angle_alpha 90.00
_cell_angle_beta 90.00
_cell_angle_gamma 90.00
loop_
_atom_site_label
_atom_site_fract_x
_atom_site_fract_y
_atom_site_fract_z
Pr1 0.013 0.250 0.099
Pr2 0.134 0.750 0.450
Pr3 0.183 0.250 0.719
Ag1 0.105 0.250 0.311
Ir1 0.232 0.750 0.044
```